No. 1
This entry pairs a crystal structure of PaAl2GaGe with its computed powder XRD pattern. Radiation: Cu Kα X-rays. Structure: a cell relaxed with PBE.

Most intense lines, 10 to 90 degrees two-theta, in order of rising 2θ:
- d 6.138, 2θ 14.43, intensity 21
- d 4.888, 2θ 18.15, intensity 45
- d 4.040, 2θ 22.00, intensity 24
- d 2.869, 2θ 31.17, intensity 41
- d 2.803, 2θ 31.93, intensity 100
- d 2.728, 2θ 32.84, intensity 80
- d 2.052, 2θ 44.14, intensity 21
- d 1.973, 2θ 46.00, intensity 40

Atomic structure:
Cell lengths 6.472, 6.472, 8.081 Å; angles 90.00, 90.00, 143.03 degrees
Fractional positions:
Pa 0.067 0.933 0.750
Pa 0.933 0.067 0.250
Al 0.307 0.693 0.566
Al 0.307 0.693 0.934
Al 0.693 0.307 0.066
Al 0.693 0.307 0.434
Ga 0.240 0.760 0.250
Ga 0.760 0.240 0.750
Ge 0.500 0.500 0.000
Ge 0.500 0.500 0.500

No. 2
This entry pairs a crystal structure of TbAlGaGe with its computed powder XRD pattern. Radiation: Cu Kα X-rays. Structure: a cell relaxed with PBE.

Most intense lines, 10 to 90 degrees two-theta, in order of rising 2θ:
- d 4.441, 2θ 19.99, intensity 17
- d 4.304, 2θ 20.64, intensity 15
- d 2.983, 2θ 29.96, intensity 13
- d 2.476, 2θ 36.28, intensity 100
- d 2.221, 2θ 40.63, intensity 18
- d 2.152, 2θ 41.98, intensity 17
- d 2.068, 2θ 43.77, intensity 15
- d 1.326, 2θ 71.10, intensity 14

Atomic structure:
Cell lengths 4.137, 4.304, 4.441 Å; angles 90.00, 90.00, 90.00 degrees
Fractional positions:
Tb 0.000 0.000 0.000
Al 0.000 0.500 0.500
Ga 0.500 0.000 0.500
Ge 0.500 0.500 0.000

No. 3
This entry pairs a crystal structure of Hf3Al5Ga with its computed powder XRD pattern. Radiation: Cu Kα X-rays. Structure: a cell relaxed with PBE.

Most intense lines, 10 to 90 degrees two-theta, in order of rising 2θ:
- d 4.073, 2θ 21.82, intensity 39
- d 3.902, 2θ 22.79, intensity 91
- d 3.446, 2θ 25.86, intensity 70
- d 2.576, 2θ 34.82, intensity 47
- d 2.536, 2θ 35.39, intensity 100
- d 2.223, 2θ 40.59, intensity 43
- d 2.210, 2θ 40.83, intensity 52
- d 1.902, 2θ 47.82, intensity 85

Atomic structure:
Cell lengths 7.831, 7.831, 7.831 Å; angles 117.31, 117.31, 94.72 degrees
Fractional positions:
Hf 0.118 0.618 0.735
Hf 0.250 0.250 0.000
Hf 0.382 0.118 0.500
Hf 0.618 0.882 0.500
Hf 0.750 0.750 0.000
Hf 0.882 0.382 0.265
Al 0.000 0.000 0.000
Al 0.047 0.170 0.500
Al 0.170 0.670 0.123
Al 0.330 0.453 0.500
Al 0.453 0.953 0.123
Al 0.500 0.500 0.000
Al 0.547 0.047 0.877
Al 0.670 0.547 0.500
Al 0.830 0.330 0.877
Al 0.953 0.830 0.500
Ga 0.250 0.750 0.500
Ga 0.750 0.250 0.500